Fe3O4F2: calculated X-ray powder pattern (Cu Ka), based on the PBE+U geometry in Alexandria.

Structural model:
a = 4.6729 Å, b = 4.6729 Å, c = 9.1202 Å
α = 90.00°, β = 90.00°, γ = 90.00°
Atoms (fractional coordinates):
Fe 0.0000 0.0000 0.0000
Fe 0.0000 0.0000 0.3190
Fe 0.0000 0.0000 0.6810
Fe 0.5000 0.5000 0.1810
Fe 0.5000 0.5000 0.5000
Fe 0.5000 0.5000 0.8190
O 0.1938 0.1938 0.1564
O 0.1938 0.1938 0.8436
O 0.3062 0.6938 0.3436
O 0.3062 0.6938 0.6564
O 0.6938 0.3062 0.3436
O 0.6938 0.3062 0.6564
O 0.8062 0.8062 0.1564
O 0.8062 0.8062 0.8436
F 0.1882 0.1882 0.5000
F 0.3118 0.6882 0.0000
F 0.6882 0.3118 0.0000
F 0.8118 0.8118 0.5000

Principal peaks in the range 2θ from 15° to 90°, low angle first:
hkl, 2θ (°), I (rel.)
1 1 0, 26.98, 100.0
1 0 3, 35.22, 48.4
2 0 0, 38.53, 10.2
1 1 3, 40.31, 14.0
2 1 0, 43.30, 5.7
2 1 3, 53.19, 58.2
2 2 0, 55.63, 16.8
0 0 6, 60.95, 7.2
3 1 0, 62.89, 9.5
3 0 3, 67.57, 20.9
1 1 6, 67.87, 9.7
2 2 6, 87.13, 6.6